[1]
Calculated powder diffractogram
Compound: Li4Ti3Co5O16
Radiation: a wavelength of 1.5418 Å
Structure: a structure optimized by DFT (PBE+U)

Structure:
```
Li4Ti3Co5O16
1.0
5.0070 -2.9202 0.0000
5.0070 2.9202 0.0000
-0.0421 0.0000 9.6220
Li Ti Co O
4 3 5 16
direct
0.0000 0.0000 0.0000
0.0067 0.0067 0.5010
0.3212 0.3212 0.1013
0.6560 0.6560 0.5987
0.1533 0.6460 0.7765
0.6460 0.1533 0.7765
0.8208 0.8208 0.2780
0.1602 0.1602 0.7894
0.3296 0.8255 0.2826
0.3326 0.3326 0.4995
0.6537 0.6537 0.0016
0.8255 0.3296 0.2826
0.0240 0.4829 0.6568
0.1570 0.1570 0.3795
0.1603 0.6810 0.3893
0.3241 0.3241 0.8937
0.3253 0.8235 0.8978
0.4775 0.4775 0.6675
0.4829 0.0240 0.6568
0.5070 0.9549 0.1616
0.5123 0.5123 0.1713
0.6572 0.6572 0.3892
0.6810 0.1603 0.3893
0.8235 0.3253 0.8978
0.8296 0.8296 0.8978
0.9549 0.5070 0.1616
0.9974 0.9974 0.1859
0.9973 0.9973 0.6886
```

Top 10 peaks for 2θ = 10–90°, low angle first:
2theta, I/Imax
18.44, 100.0
19.87, 93.7
20.00, 61.0
25.59, 47.6
33.10, 54.2
36.83, 56.6
40.37, 41.1
45.83, 44.3
60.57, 40.6
64.29, 39.8

***

[2]
Calculated powder diffractogram
Compound: LiPaCrO4
Radiation: a wavelength of 1.5418 Å
Structure: a structure optimized by DFT (PBE+U)

Structure:
```
LiPaCrO4
1.0
-3.0226 3.5022 4.7458
3.0226 -3.5022 4.7458
3.0226 3.5022 -4.7458
Li Pa Cr O
2 2 2 8
direct
0.3898 0.1398 0.2500
0.6102 0.8602 0.7500
0.0000 0.5000 0.5000
0.5000 0.5000 0.0000
0.0000 0.0000 0.5000
0.0000 0.5000 0.0000
0.1779 0.7253 0.4526
0.2272 0.2747 0.9526
0.2724 0.2992 0.5268
0.2724 0.7456 0.9732
0.7276 0.2544 0.0268
0.7276 0.7008 0.4732
0.7728 0.7253 0.0474
0.8221 0.2747 0.5474
```

Top 10 peaks for 2θ = 10–90°, low angle first:
2theta, I/Imax
17.39, 100.0
18.70, 21.8
30.98, 50.5
31.75, 21.0
31.93, 20.5
35.20, 15.4
37.92, 14.6
39.38, 26.6
41.25, 18.0
55.81, 18.5